1.
Computed powder diffraction line list of LiCd5 for Cu Kα (λ = 1.5418 Å), from the PBE geometry in OQMD.
Lines closer than 0.1° are merged.

Structural model:
```
LiCd5
1.0
2.6874 1.5516 5.0059
-2.6874 1.5516 5.0059
0.0000 -3.1031 5.0059
Li Cd
1 5
Cartesian
0.0000 0.0000 0.0000
-0.9201 -1.5936 7.5088
0.0000 0.0000 5.0518
-0.9201 1.5936 7.5089
0.0000 0.0000 9.9659
1.8402 0.0000 7.5088
```

Main lines, sorted by position (10° ≤ 2θ ≤ 80°):
2θ (°)	d_spacing	I/Imax
33.3	2.687	26
35.9	2.503	26
38.0	2.368	100
59.6	1.552	17
65.9	1.418	18
71.5	1.319	19


2.
Computed powder diffraction line list of ZrSn2Au for Cu Kα (λ = 1.5418 Å), from the PBE geometry in OQMD.
Lines closer than 0.1° are merged.

Structural model:
```
ZrSn2Au
1.0
4.2542 0.0000 0.0000
0.0000 4.2542 0.0000
0.0000 0.0000 9.6077
Zr Sn Au
2 4 2
Cartesian
1.0635 1.0635 2.3162
3.1906 3.1906 7.2915
1.0635 1.0635 6.7467
1.0635 3.1906 0.0000
3.1906 1.0635 0.0000
3.1906 3.1906 2.8610
1.0635 3.1906 4.8039
3.1906 1.0635 4.8039
```

Main lines, sorted by position (10° ≤ 2θ ≤ 80°):
2θ (°)	d_spacing	I/Imax
35.2	2.550	100
37.4	2.402	17
42.5	2.127	32
57.9	1.592	19
61.7	1.504	11
73.0	1.295	25